(1)
The following is a computed PXRD pattern of Pm2GaRu2. It was derived from a DFT-relaxed cell (PBE, Alexandria), using CuKα.
No peak broadening, texture or thermal motion is included.

Main lines, sorted by position (2θ = 5–70°):
2θ (°)	Rel. int.
25.6	35
33.6	59
34.1	66
35.3	39
36.8	30
37.4	100
37.6	75
38.6	30
40.5	60
65.3	34

Atomic structure:
abc: 5.723 5.723 7.928
angles: 103.34 103.34 58.64
Fractional positions:
Pm: 0.008 0.703 0.856
Pm: 0.297 0.992 0.644
Pm: 0.703 0.008 0.356
Pm: 0.992 0.297 0.144
Ga: 0.381 0.619 0.250
Ga: 0.619 0.381 0.750
Ru: 0.210 0.513 0.486
Ru: 0.487 0.790 0.014
Ru: 0.513 0.210 0.986
Ru: 0.790 0.487 0.514


(2)
The following is a computed PXRD pattern of Pm6GaRu2. It was derived from a DFT-relaxed cell (PBE, Alexandria), using CuKα.
No peak broadening, texture or thermal motion is included.

Main lines, sorted by position (2θ = 5–70°):
2θ (°)	Rel. int.
29.6	29
31.3	100
33.0	69
33.8	88
34.6	78
34.8	42
37.7	36
38.2	34
38.9	41
58.9	41

Atomic structure:
abc: 8.607 8.607 8.607
angles: 112.70 111.36 104.46
Fractional positions:
Pm: 0.044 0.240 0.804
Pm: 0.180 0.282 0.461
Pm: 0.180 0.718 0.898
Pm: 0.330 0.018 0.688
Pm: 0.330 0.642 0.312
Pm: 0.436 0.240 0.196
Pm: 0.564 0.760 0.804
Pm: 0.670 0.358 0.688
Pm: 0.670 0.982 0.312
Pm: 0.820 0.282 0.102
Pm: 0.820 0.718 0.539
Pm: 0.956 0.760 0.196
Ga: 0.000 0.000 0.000
Ga: 0.500 0.500 0.000
Ru: 0.126 0.626 0.500
Ru: 0.319 0.000 0.319
Ru: 0.681 0.000 0.681
Ru: 0.874 0.374 0.500


(3)
The following is a computed PXRD pattern of Pm3GaRu. It was derived from a DFT-relaxed cell (PBE, Alexandria), using CuKα.
No peak broadening, texture or thermal motion is included.

Main lines, sorted by position (2θ = 5–70°):
2θ (°)	Rel. int.
27.0	35
29.0	25
31.4	100
32.5	87
34.8	99
35.3	97
38.6	53
40.0	43
53.3	23
57.4	43

Atomic structure:
abc: 9.346 8.650 5.854
angles: 77.60 64.69 37.71
Fractional positions:
Pm: 0.196 0.196 0.804
Pm: 0.207 0.586 0.414
Pm: 0.414 0.793 0.207
Pm: 0.586 0.207 0.793
Pm: 0.793 0.414 0.586
Pm: 0.804 0.804 0.196
Ga: 0.191 0.809 0.809
Ga: 0.809 0.191 0.191
Ru: 0.250 0.250 0.250
Ru: 0.750 0.750 0.750


(4)
The following is a computed PXRD pattern of PmGa5Ru. It was derived from a DFT-relaxed cell (PBE, Alexandria), using CuKα.
No peak broadening, texture or thermal motion is included.

Main lines, sorted by position (2θ = 5–70°):
2θ (°)	Rel. int.
20.3	29
31.7	31
32.8	17
38.5	13
38.9	100
41.3	56
53.7	8
57.8	16
59.9	18
60.8	9

Atomic structure:
abc: 4.367 4.367 7.009
angles: 90.00 90.00 90.00
Fractional positions:
Pm: 0.000 0.000 0.000
Ga: 0.000 0.500 0.311
Ga: 0.000 0.500 0.689
Ga: 0.500 0.000 0.311
Ga: 0.500 0.000 0.689
Ga: 0.500 0.500 0.000
Ru: 0.000 0.000 0.500


(5)
The following is a computed PXRD pattern of Pm2GaSi2Ru5. It was derived from a DFT-relaxed cell (PBE, Alexandria), using CuKα.
No peak broadening, texture or thermal motion is included.

Main lines, sorted by position (2θ = 5–70°):
2θ (°)	Rel. int.
33.9	57
36.7	78
37.4	27
37.8	27
39.5	100
40.0	24
42.6	29
56.5	18
65.8	18
69.3	24

Atomic structure:
abc: 10.088 10.088 3.258
angles: 90.00 90.00 90.00
Fractional positions:
Pm: 0.174 0.326 0.000
Pm: 0.326 0.826 0.000
Pm: 0.674 0.174 0.000
Pm: 0.826 0.674 0.000
Ga: 0.000 0.000 0.000
Ga: 0.500 0.500 0.000
Si: 0.127 0.627 0.000
Si: 0.373 0.127 0.000
Si: 0.627 0.873 0.000
Si: 0.873 0.373 0.000
Ru: 0.000 0.500 0.500
Ru: 0.066 0.791 0.500
Ru: 0.209 0.066 0.500
Ru: 0.291 0.566 0.500
Ru: 0.434 0.291 0.500
Ru: 0.500 0.000 0.500
Ru: 0.566 0.709 0.500
Ru: 0.709 0.434 0.500
Ru: 0.791 0.934 0.500
Ru: 0.934 0.209 0.500


(6)
The following is a computed PXRD pattern of Pm5GaS4. It was derived from a DFT-relaxed cell (PBE, Alexandria), using CuKα.
No peak broadening, texture or thermal motion is included.

Main lines, sorted by position (2θ = 5–70°):
2θ (°)	Rel. int.
26.7	89
30.9	100
31.0	49
44.2	36
44.3	73
52.4	29
52.6	15
55.0	38
64.3	12
64.7	6

Atomic structure:
abc: 7.089 7.089 7.089
angles: 99.51 99.51 132.04
Fractional positions:
Pm: 0.000 0.000 0.000
Pm: 0.197 0.600 0.797
Pm: 0.400 0.197 0.596
Pm: 0.600 0.803 0.404
Pm: 0.803 0.400 0.203
Ga: 0.500 0.500 0.000
S: 0.101 0.301 0.402
S: 0.301 0.899 0.199
S: 0.699 0.101 0.801
S: 0.899 0.699 0.598


(7)
The following is a computed PXRD pattern of Pm2GaS. It was derived from a DFT-relaxed cell (PBE, Alexandria), using CuKα.
No peak broadening, texture or thermal motion is included.

Main lines, sorted by position (2θ = 5–70°):
2θ (°)	Rel. int.
26.9	45
28.7	44
30.7	100
31.3	45
32.7	22
41.4	47
42.6	27
44.5	24
47.3	20
53.8	35

Atomic structure:
abc: 4.244 22.844 4.068
angles: 90.00 90.00 90.00
Fractional positions:
Pm: 0.000 0.070 0.250
Pm: 0.000 0.315 0.250
Pm: 0.000 0.685 0.750
Pm: 0.000 0.930 0.750
Pm: 0.500 0.185 0.750
Pm: 0.500 0.430 0.750
Pm: 0.500 0.570 0.250
Pm: 0.500 0.815 0.250
Ga: 0.000 0.462 0.250
Ga: 0.000 0.538 0.750
Ga: 0.500 0.038 0.750
Ga: 0.500 0.962 0.250
S: 0.000 0.192 0.250
S: 0.000 0.808 0.750
S: 0.500 0.308 0.750
S: 0.500 0.692 0.250